(1)
NaNpMnI6: simulated PXRD pattern (a wavelength of 1.5418 Å), based on a crystal structure in Alexandria, relaxed with GGA-PBE.
Neutral-atom scattering factors, no anomalous dispersion.

Structural model:
```
data_NaNpMnI6
_chemical_formula_sum 'Na2 Np2 Mn2 I12'
_cell_length_a 7.6935
_cell_length_b 7.6935
_cell_length_c 14.4312
_cell_angle_alpha 90.00
_cell_angle_beta 90.00
_cell_angle_gamma 120.00
_space_group_name_H-M_alt 'P -3 1 c'
_space_group_IT_number 163
_space_group_name_Hall '-P 3 2c'
loop_
_atom_site_label
_atom_site_fract_x
_atom_site_fract_y
_atom_site_fract_z
Na1 0.0000 0.0000 0.0000
Np1 0.3333 0.6667 0.2500
Mn1 0.3333 0.6667 0.7500
I1 0.0196 0.3635 0.6317
```

The 10 most intense peaks (2θ from 10° to 90°), in order of rising 2θ:
d = 7.216 Å, intensity 22; d = 6.663 Å, intensity 16; d = 4.895 Å, intensity 16; d = 3.395 Å, intensity 100; d = 2.632 Å, intensity 52; d = 2.221 Å, intensity 34; d = 2.039 Å, intensity 26; d = 1.858 Å, intensity 15; d = 1.697 Å, intensity 13; d = 1.400 Å, intensity 14

(2)
NaMn2PbI8: simulated PXRD pattern (a wavelength of 1.5418 Å), based on a crystal structure in Alexandria, relaxed with GGA-PBE.
Neutral-atom scattering factors, no anomalous dispersion.

Structural model:
```
data_NaMn2PbI8
_chemical_formula_sum 'Na1 Mn2 Pb1 I8'
_cell_length_a 7.5949
_cell_length_b 7.5949
_cell_length_c 10.5732
_cell_angle_alpha 90.00
_cell_angle_beta 90.00
_cell_angle_gamma 120.00
_space_group_name_H-M_alt 'P -3'
_space_group_IT_number 147
_space_group_name_Hall '-P 3'
loop_
_atom_site_label
_atom_site_fract_x
_atom_site_fract_y
_atom_site_fract_z
Na1 0.0000 0.0000 0.0000
Mn1 0.3333 0.6667 0.7572
Pb1 0.0000 0.0000 0.5000
I1 0.0051 0.6741 0.3052
I2 0.3333 0.6667 0.0026
```

The 10 most intense peaks (2θ from 10° to 90°), in order of rising 2θ:
d = 5.585 Å, intensity 70; d = 3.574 Å, intensity 100; d = 3.524 Å, intensity 19; d = 3.140 Å, intensity 17; d = 3.084 Å, intensity 98; d = 2.583 Å, intensity 18; d = 2.192 Å, intensity 56; d = 2.169 Å, intensity 41; d = 1.862 Å, intensity 18; d = 1.787 Å, intensity 20

(3)
NaMnSn2I8: simulated PXRD pattern (a wavelength of 1.5418 Å), based on a crystal structure in Alexandria, relaxed with GGA-PBE.
Neutral-atom scattering factors, no anomalous dispersion.

Structural model:
```
data_NaMnSn2I8
_chemical_formula_sum 'Na1 Mn1 Sn2 I8'
_cell_length_a 7.0903
_cell_length_b 9.0681
_cell_length_c 7.4827
_cell_angle_alpha 90.00
_cell_angle_beta 92.51
_cell_angle_gamma 90.00
_space_group_name_H-M_alt 'P 1 2/m 1'
_space_group_IT_number 10
_space_group_name_Hall '-P 2y'
loop_
_atom_site_label
_atom_site_fract_x
_atom_site_fract_y
_atom_site_fract_z
Na1 0.0000 0.0000 0.0000
Mn1 0.0000 0.5000 0.0000
Sn1 0.5000 0.2587 0.5000
I1 0.2246 0.2770 0.1553
I2 0.2401 0.5000 0.6850
I3 0.2730 0.0000 0.6591
```

The 10 most intense peaks (2θ from 10° to 90°), in order of rising 2θ:
d = 5.033 Å, intensity 21; d = 3.542 Å, intensity 22; d = 3.434 Å, intensity 100; d = 3.368 Å, intensity 60; d = 3.248 Å, intensity 47; d = 2.644 Å, intensity 32; d = 2.586 Å, intensity 38; d = 2.267 Å, intensity 23; d = 2.184 Å, intensity 48; d = 2.037 Å, intensity 19

(4)
Mn2NbI8: simulated PXRD pattern (a wavelength of 1.5418 Å), based on a crystal structure in Alexandria, relaxed with GGA-PBE.
Neutral-atom scattering factors, no anomalous dispersion.

Structural model:
```
data_Mn2NbI8
_chemical_formula_sum 'Mn2 Nb1 I8'
_cell_length_a 8.5352
_cell_length_b 8.5352
_cell_length_c 7.5681
_cell_angle_alpha 90.00
_cell_angle_beta 90.00
_cell_angle_gamma 120.00
_space_group_name_H-M_alt 'P -3 m 1'
_space_group_IT_number 164
_space_group_name_Hall '-P 3 2"'
loop_
_atom_site_label
_atom_site_fract_x
_atom_site_fract_y
_atom_site_fract_z
Mn1 0.3333 0.6667 0.2889
Nb1 0.0000 0.0000 0.0000
I1 0.1513 0.3027 0.2278
I2 0.3333 0.6667 0.6301
```

The 10 most intense peaks (2θ from 10° to 90°), in order of rising 2θ:
d = 5.288 Å, intensity 40; d = 3.784 Å, intensity 26; d = 3.696 Å, intensity 27; d = 3.321 Å, intensity 100; d = 2.644 Å, intensity 28; d = 2.621 Å, intensity 19; d = 2.248 Å, intensity 14; d = 2.134 Å, intensity 37; d = 1.872 Å, intensity 18; d = 1.859 Å, intensity 17

(5)
MnNbRu2I: simulated PXRD pattern (a wavelength of 1.5418 Å), based on a crystal structure in Alexandria, relaxed with GGA-PBE.
Neutral-atom scattering factors, no anomalous dispersion.

Structural model:
```
data_MnNbRu2I
_chemical_formula_sum 'Mn1 Nb1 Ru2 I1'
_cell_length_a 4.7971
_cell_length_b 4.7971
_cell_length_c 4.9688
_cell_angle_alpha 90.00
_cell_angle_beta 90.00
_cell_angle_gamma 90.00
_space_group_name_H-M_alt 'P 4/m m m'
_space_group_IT_number 123
_space_group_name_Hall '-P 4 2'
loop_
_atom_site_label
_atom_site_fract_x
_atom_site_fract_y
_atom_site_fract_z
Mn1 0.0000 0.0000 0.0000
Nb1 0.0000 0.0000 0.5000
Ru1 0.0000 0.5000 0.5000
I1 0.5000 0.5000 0.0000
```

The 10 most intense peaks (2θ from 10° to 90°), in order of rising 2θ:
d = 3.451 Å, intensity 55; d = 2.801 Å, intensity 100; d = 2.484 Å, intensity 49; d = 2.399 Å, intensity 88; d = 1.970 Å, intensity 23; d = 1.726 Å, intensity 63; d = 1.696 Å, intensity 30; d = 1.451 Å, intensity 25; d = 1.401 Å, intensity 31; d = 1.103 Å, intensity 20

(6)
NdMn3I9: simulated PXRD pattern (a wavelength of 1.5418 Å), based on a crystal structure in Alexandria, relaxed with GGA-PBE.
Neutral-atom scattering factors, no anomalous dispersion.

Structural model:
```
data_NdMn3I9
_chemical_formula_sum 'Nd4 Mn12 I36'
_cell_length_a 20.7405
_cell_length_b 10.3947
_cell_length_c 14.8053
_cell_angle_alpha 90.00
_cell_angle_beta 129.04
_cell_angle_gamma 90.00
_space_group_name_H-M_alt 'C 1 c 1'
_space_group_IT_number 9
_space_group_name_Hall 'C -2yc'
loop_
_atom_site_label
_atom_site_fract_x
_atom_site_fract_y
_atom_site_fract_z
Nd1 0.0000 0.2280 0.0000
Mn1 0.1415 0.1196 0.8299
Mn2 0.2283 0.4267 0.7065
Mn3 0.3584 0.0714 0.6652
I1 0.0097 0.0779 0.8231
I2 0.1091 0.3459 0.7177
I3 0.1475 0.0667 0.2079
I4 0.1524 0.3787 0.0505
I5 0.2382 0.2519 0.5779
I6 0.3024 0.1382 0.0260
I7 0.3613 0.4823 0.4169
I8 0.4020 0.0194 0.3690
I9 0.4876 0.1852 0.6939
```

The 10 most intense peaks (2θ from 10° to 90°), in order of rising 2θ:
d = 6.033 Å, intensity 76; d = 3.846 Å, intensity 100; d = 3.733 Å, intensity 32; d = 3.705 Å, intensity 41; d = 3.556 Å, intensity 49; d = 3.542 Å, intensity 56; d = 3.464 Å, intensity 41; d = 3.183 Å, intensity 35; d = 2.516 Å, intensity 33; d = 1.918 Å, intensity 34